Record 1
Starting from a structure optimized by DFT (PBE), the PXRD pattern of LuZnCo2 was computed for Cu Kα.
Peak positions follow from Bragg's law for the DFT cell and can differ from measured ones.

Structural model:
Unit cell a=6.173 b=6.173 c=6.173 alpha=90.00 beta=90.00 gamma=90.00
Space group F-43m (No. 216)
Asymmetric unit:
Lu: 0.000 0.000 0.000 [4 per cell]
Zn: 0.250 0.250 0.250 [4 per cell]
Co: 0.000 0.000 0.500 [4 per cell]
Co: 0.250 0.250 0.750 [4 per cell]

Main lines, low angle first (2θ from 15° to 90°):
two_theta, Rel. int., (hkl)
25.0, 22, 1 1 1
41.4, 100, 2 2 0
48.9, 12, 3 1 1
59.9, 16, 4 0 0
75.4, 32, 4 2 2
89.9, 10, 4 4 0


Record 2
Starting from a structure optimized by DFT (PBE), the PXRD pattern of Ag2Ge was computed for Cu Kα.
Peak positions follow from Bragg's law for the DFT cell and can differ from measured ones.

Structural model:
Unit cell a=4.607 b=5.567 c=8.593 alpha=90.00 beta=90.00 gamma=90.00
Space group P2_12_12_1 (No. 19)
Asymmetric unit:
Ag: 0.033 0.173 0.295 [4 per cell]
Ag: 0.048 0.586 0.542 [4 per cell]
Ge: 0.029 0.076 0.628 [4 per cell]

Main lines, low angle first (2θ from 15° to 90°):
two_theta, Rel. int., (hkl)
35.2, 39, 0 1 3
37.0, 70, 1 0 3
37.8, 100, 1 2 0
39.1, 53, 2 0 0
39.2, 37, 1 2 1
40.5, 74, 1 1 3